BaCe2O4: theoretical X-ray diffraction stick pattern (CuKα), based on a DFT-relaxed cell (GGA-PBE, the Materials Project).
Peak positions follow from Bragg's law for the DFT cell and can differ from measured ones.

Top 12 peaks for 10 to 80 degrees two-theta, sorted by position:
2θ/deg  d/Å  intensity  (hkl)
28.4  3.145  48  0 0 4
28.9  3.088  100  3 0 2
29.6  3.021  70  1 1 2
29.7  3.004  32  2 1 0
33.7  2.661  21  1 1 3
41.6  2.172  38  2 1 4
42.1  2.147  20  4 1 0
50.1  1.820  20  0 2 0
50.6  1.805  17  3 0 6
51.5  1.773  30  6 0 0
51.9  1.763  16  5 1 2
58.9  1.568  27  3 2 2

Atomic structure:
Unit cell a=10.6359 b=3.6403 c=12.5789 alpha=90.00 beta=90.00 gamma=90.00
Space group Pnma (No. 62)
One atom of each set of equivalent atoms:
1 Ba 0.2501 0.2500 0.1468 x4
2 Ce 0.0761 0.2500 0.8881 x4
3 Ce 0.0817 0.2500 0.3892 x4
4 O 0.0124 0.7500 0.7837 x4
5 O 0.0666 0.2500 0.5763 x4
6 O 0.1221 0.7500 0.0149 x4
7 O 0.2150 0.7500 0.3259 x4